# CsPb6
Calculated powder XRD pattern, a wavelength of 1.5418 Å. Input: DFT lattice parameters and positions (GGA-PBE).

Main lines, sorted by position (2θ = 10–90°):
2θ 27.9, I = 60, (1 0 4)
2θ 28.9, I = 100, (3 1 1)
2θ 30.6, I = 36, (2 2 1)
2θ 32.8, I = 27, (2 2 2)
2θ 32.9, I = 51, (1 2 3)
2θ 34.0, I = 39, (2 1 4)
2θ 34.5, I = 63, (4 0 1)
2θ 62.5, I = 29, (4 4 1)

Structure:
```
CsPb6
1.0
10.583 0.000 0.000
0.000 7.247 0.000
0.000 0.000 13.405
Cs Pb
4 24
Direct
0.237 0.250 0.059
0.263 0.750 0.559
0.737 0.250 0.441
0.763 0.750 0.941
0.058 0.022 0.301
0.058 0.478 0.301
0.085 0.750 0.094
0.094 0.250 0.534
0.164 0.750 0.856
0.196 0.250 0.770
0.304 0.750 0.270
0.336 0.250 0.356
0.406 0.750 0.034
0.415 0.250 0.594
0.442 0.522 0.801
0.442 0.978 0.801
0.558 0.022 0.199
0.558 0.478 0.199
0.585 0.750 0.406
0.594 0.250 0.966
0.664 0.750 0.644
0.696 0.250 0.730
0.804 0.750 0.230
0.836 0.250 0.144
0.906 0.750 0.466
0.915 0.250 0.906
0.942 0.522 0.699
0.942 0.978 0.699
```